Structure and simulated powder XRD pattern of Pr2InGaGe (a crystal structure in Alexandria, relaxed with GGA-PBE; Cu Ka).
No peak broadening, texture or thermal motion is included.

Most intense lines, 2θ = 5–70°, sorted by position:
2θ = 28.70°, intensity 14, hkl 2 0 0; 2θ = 31.36°, intensity 100, hkl 1 1 2; 2θ = 32.16°, intensity 19, hkl 1 0 3; 2θ = 34.65°, intensity 15, hkl 2 0 2; 2θ = 35.27°, intensity 10, hkl 0 1 3; 2θ = 36.61°, intensity 37, hkl 2 1 -1; 2θ = 38.57°, intensity 16, hkl 0 0 4; 2θ = 40.83°, intensity 22, hkl 0 2 0; 2θ = 53.06°, intensity 11, hkl 3 0 -3; 2θ = 61.61°, intensity 21, hkl 2 1 5

```
data_Pr2InGaGe
_space_group_name_H-M_alt 'P 1 21/m 1'
_space_group_IT_number 11
_space_group_name_Hall '-P 2yb'
_cell_length_a 6.221
_cell_length_b 4.421
_cell_length_c 9.337
_cell_angle_alpha 90.00
_cell_angle_beta 90.00
_cell_angle_gamma 90.00
loop_
_atom_site_label
_atom_site_fract_x
_atom_site_fract_y
_atom_site_fract_z
_atom_site_occupancy
Pr1 0.246 0.250 0.038 1
Pr2 0.246 0.250 0.462 1
In1 0.260 0.750 0.750 1
Ga1 0.456 0.750 0.250 1
Ge1 0.047 0.750 0.250 1
```